1.
Calculated powder diffractogram
Compound: Rb2Bi3Pb5
Radiation: a wavelength of 1.5418 Å
Structure: DFT lattice parameters and positions (GGA-PBE)
No peak broadening, texture or thermal motion is included.

Cell and atoms:
Cell: 13.742 15.192 7.725 Å, 90.00 90.00 90.00°
Space group Ibam (No. 72)
Unique sites:
Rb1 0.246 0.124 0.000 x8
Bi1 0.000 0.000 0.250 x4
Bi2 0.137 0.376 0.000 x8
Pb1 0.000 0.255 0.250 x8
Pb2 0.000 0.500 0.250 x4
Pb3 0.128 0.126 0.500 x8

Largest 12 diffraction maxima, low angle first, 2θ = 15–90°:
- (1 2 1), 17.6°, 5.039 Å, intensity 506
- (3 2 1), 25.5°, 3.498 Å, intensity 526
- (2 0 2), 26.5°, 3.367 Å, intensity 610
- (2 4 0), 26.8°, 3.324 Å, intensity 587
- (0 4 2), 33.1°, 2.708 Å, intensity 1000
- (4 0 2), 35.0°, 2.567 Å, intensity 556
- (4 4 0), 35.2°, 2.548 Å, intensity 543
- (5 2 1), 36.7°, 2.451 Å, intensity 345
- (0 0 4), 47.1°, 1.931 Å, intensity 191
- (4 4 4), 60.1°, 1.539 Å, intensity 242
- (4 8 2), 60.7°, 1.527 Å, intensity 232
- (8 4 2), 64.2°, 1.451 Å, intensity 281

=====

2.
Calculated powder diffractogram
Compound: Rb3Bi5Pb6
Radiation: a wavelength of 1.5418 Å
Structure: DFT lattice parameters and positions (GGA-PBE)
No peak broadening, texture or thermal motion is included.

Cell and atoms:
Cell: 5.540 15.950 12.075 Å, 90.00 90.00 90.00°
Space group Pmmn (No. 59, origin choice 2)
Unique sites:
Rb1 0.250 0.051 0.249 x4
Rb2 0.250 0.750 0.256 x2
Bi1 0.250 0.100 0.875 x4
Bi2 0.250 0.622 0.533 x4
Bi3 0.250 0.750 0.774 x2
Pb1 0.250 0.076 0.594 x4
Pb2 0.250 0.250 0.055 x2
Pb3 0.250 0.250 0.429 x2
Pb4 0.250 0.592 0.977 x4

Largest 12 diffraction maxima, low angle first, 2θ = 15–90°:
- (0 3 1), 18.2°, 4.866 Å, intensity 226
- (0 4 2), 26.8°, 3.327 Å, intensity 194
- (1 0 3), 27.4°, 3.256 Å, intensity 221
- (1 3 2), 27.5°, 3.238 Å, intensity 1000
- (1 2 3), 29.6°, 3.015 Å, intensity 588
- (2 0 0), 32.3°, 2.771 Å, intensity 795
- (0 6 0), 33.7°, 2.658 Å, intensity 376
- (1 1 4), 34.3°, 2.615 Å, intensity 351
- (1 4 3), 35.6°, 2.521 Å, intensity 555
- (1 3 4), 37.9°, 2.372 Å, intensity 200
- (2 6 0), 47.4°, 1.918 Å, intensity 289
- (1 7 4), 53.0°, 1.728 Å, intensity 208

=====

3.
Calculated powder diffractogram
Compound: RbBi2Pb6
Radiation: a wavelength of 1.5418 Å
Structure: DFT lattice parameters and positions (GGA-PBE)
No peak broadening, texture or thermal motion is included.

Cell and atoms:
Cell: 5.031 5.031 12.662 Å, 90.00 90.00 90.00°
Space group P4/mmm (No. 123)
Unique sites:
Rb1 0.000 0.000 0.000 x1
Bi1 0.500 0.500 0.126 x2
Pb1 0.000 0.000 0.500 x1
Pb2 0.000 0.500 0.298 x4
Pb3 0.500 0.500 0.500 x1

Largest 12 diffraction maxima, low angle first, 2θ = 15–90°:
- (1 1 2), 28.8°, 3.101 Å, intensity 1000
- (1 1 3), 32.9°, 2.720 Å, intensity 834
- (1 0 4), 33.4°, 2.679 Å, intensity 126
- (0 0 5), 35.4°, 2.532 Å, intensity 217
- (2 0 0), 35.7°, 2.516 Å, intensity 633
- (2 0 5), 51.2°, 1.785 Å, intensity 314
- (2 2 0), 51.4°, 1.779 Å, intensity 229
- (3 1 2), 60.0°, 1.543 Å, intensity 263
- (3 1 3), 62.4°, 1.489 Å, intensity 279
- (2 2 5), 64.0°, 1.456 Å, intensity 164
- (1 1 8), 64.4°, 1.446 Å, intensity 180
- (3 1 8), 86.8°, 1.122 Å, intensity 176

=====

4.
Calculated powder diffractogram
Compound: Rb2BiPb
Radiation: a wavelength of 1.5418 Å
Structure: DFT lattice parameters and positions (GGA-PBE)
No peak broadening, texture or thermal motion is included.

Cell and atoms:
Cell: 4.766 11.187 7.297 Å, 90.00 90.00 90.00°
Space group Imm2 (No. 44)
Unique sites:
Rb1 0.000 0.197 0.000 x4
Bi1 0.000 0.000 0.466 x2
Pb1 0.000 0.500 0.231 x2

Largest 12 diffraction maxima, low angle first, 2θ = 15–90°:
- (0 2 0), 15.8°, 5.593 Å, intensity 359
- (1 0 1), 22.3°, 3.990 Å, intensity 275
- (0 3 1), 26.8°, 3.320 Å, intensity 481
- (1 2 1), 27.5°, 3.248 Å, intensity 879
- (1 1 2), 31.9°, 2.803 Å, intensity 1000
- (2 0 0), 37.8°, 2.383 Å, intensity 206
- (0 1 3), 37.9°, 2.377 Å, intensity 120
- (1 4 1), 39.4°, 2.289 Å, intensity 339
- (1 2 3), 44.9°, 2.020 Å, intensity 215
- (2 3 1), 46.9°, 1.936 Å, intensity 214
- (1 5 2), 51.6°, 1.771 Å, intensity 327
- (2 3 3), 59.7°, 1.549 Å, intensity 125